Entry 1:
La3PrHo7: computed XRD peak list (a wavelength of 1.5418 Å), based on DFT lattice parameters and positions (GGA-PBE).
No peak broadening, texture or thermal motion is included.

Peak list (10 most intense, 2θ from 10° to 80°, by intensity)
two_theta	d [Å]	I/Imax	index
31.23	2.864	100.0	1 2 -1
31.77	2.817	94.6	-1 2 1
31.94	2.802	92.9	2 0 -2
32.77	2.733	39.1	1 1 2
32.22	2.778	35.6	0 1 -3
34.42	2.606	22.2	1 -2 2
32.48	2.757	19.6	1 0 -3
31.62	2.830	16.5	2 1 -1
45.78	1.982	15.3	3 1 0
55.81	1.647	14.6	0 4 0

Structural model:
a = 6.5832 Å, b = 6.7284 Å, c = 8.6904 Å
α = 99.55°, β = 98.65°, γ = 95.10°
Space group P-1 (No. 2)
Symmetry-distinct sites (fractional):
La  0.0000  0.0000  0.0000 x1
La  0.1992  0.5600  0.1612 x2
Pr  0.5000  0.0000  0.5000 x1
Ho  0.0128  0.7665  0.5812 x2
Ho  0.2781  0.2768  0.7861 x2
Ho  0.4395  0.7933  0.8542 x2
Ho  0.5000  0.5000  0.5000 x1

=====

Entry 2:
La3Pr6Ho2: computed XRD peak list (a wavelength of 1.5418 Å), based on DFT lattice parameters and positions (GGA-PBE).
No peak broadening, texture or thermal motion is included.

Peak list (10 most intense, 2θ from 10° to 80°, by intensity)
two_theta	d [Å]	I/Imax	index
29.65	3.013	100.0	1 2 0
34.37	2.610	67.6	2 1 2
29.53	3.025	50.5	0 1 3
29.81	2.997	49.3	2 0 -1
34.41	2.606	33.8	-1 2 1
49.41	1.845	24.2	0 3 -2
49.60	1.838	24.0	3 -1 1
58.59	1.576	21.7	0 4 1
58.70	1.573	21.6	3 3 2
58.49	1.578	14.5	2 2 5

Structural model:
a = 6.3580 Å, b = 6.3984 Å, c = 9.8000 Å
α = 83.61°, β = 89.85°, γ = 80.29°
Space group P-1 (No. 2)
Symmetry-distinct sites (fractional):
La  0.0000  0.0000  0.0000 x1
La  0.1837  0.9104  0.3625 x2
Pr  0.0927  0.4570  0.1790 x2
Pr  0.2727  0.3633  0.5485 x2
Pr  0.3638  0.8149  0.7323 x2
Ho  0.4545  0.2718  0.9115 x2

=====

Entry 3:
La4PrHo: computed XRD peak list (a wavelength of 1.5418 Å), based on DFT lattice parameters and positions (GGA-PBE).
No peak broadening, texture or thermal motion is included.

Peak list (10 most intense, 2θ from 10° to 80°, by intensity)
two_theta	d [Å]	I/Imax	index
29.63	3.015	100.0	1 1 0
34.40	2.607	33.6	1 0 3
49.34	1.847	30.3	2 0 0
58.71	1.573	28.5	2 1 3
34.25	2.618	17.1	0 2 0
58.51	1.578	14.6	1 3 0
61.47	1.509	6.3	2 2 0
61.58	1.506	6.1	0 2 6
49.51	1.841	5.9	0 0 6
72.52	1.303	3.8	2 0 6

Structural model:
a = 3.6913 Å, b = 5.2365 Å, c = 11.0459 Å
α = 90.00°, β = 90.00°, γ = 90.00°
Space group Pmmm (No. 47)
Symmetry-distinct sites (fractional):
La  0.0000  0.0000  0.1663 x2
La  0.5000  0.5000  0.3264 x2
Pr  0.0000  0.0000  0.5000 x1
Ho  0.5000  0.5000  0.0000 x1

=====

Entry 4:
La4Pr15Ho: computed XRD peak list (a wavelength of 1.5418 Å), based on DFT lattice parameters and positions (GGA-PBE).
No peak broadening, texture or thermal motion is included.

Peak list (10 most intense, 2θ from 10° to 80°, by intensity)
two_theta	d [Å]	I/Imax	index
29.45	3.033	100.0	1 1 5
34.13	2.627	50.7	2 0 0
49.05	1.857	36.4	2 2 0
58.21	1.585	29.1	3 1 5
58.33	1.582	14.2	1 1 15
61.11	1.517	12.5	2 2 10
79.57	1.205	11.5	3 1 15
79.46	1.206	5.9	3 3 5
71.81	1.315	3.9	4 0 0
72.03	1.311	1.9	0 0 20

Structural model:
a = 5.2580 Å, b = 5.2580 Å, c = 26.2206 Å
α = 90.00°, β = 90.00°, γ = 90.00°
Space group P4/mmm (No. 123)
Symmetry-distinct sites (fractional):
La  0.0000  0.0000  0.1007 x2
La  0.0000  0.0000  0.3014 x2
Pr  0.0000  0.5000  0.0000 x2
Pr  0.0000  0.5000  0.2010 x4
Pr  0.0000  0.5000  0.4024 x4
Pr  0.5000  0.5000  0.1005 x2
Pr  0.5000  0.5000  0.3023 x2
Pr  0.5000  0.5000  0.5000 x1
Ho  0.0000  0.0000  0.5000 x1

=====

Entry 5:
LaPr2Ho5: computed XRD peak list (a wavelength of 1.5418 Å), based on DFT lattice parameters and positions (GGA-PBE).
No peak broadening, texture or thermal motion is included.

Peak list (10 most intense, 2θ from 10° to 80°, by intensity)
two_theta	d [Å]	I/Imax	index
31.39	2.850	100.0	0 2 4
30.36	2.944	73.2	1 2 1
32.23	2.778	45.5	1 0 3
31.80	2.814	42.2	0 4 0
61.16	1.515	29.9	2 2 4
45.91	1.977	28.9	1 4 3
57.57	1.601	22.2	1 2 7
55.66	1.651	22.1	0 0 8
34.64	2.589	16.1	1 3 0
61.41	1.510	15.2	2 4 0

Structural model:
a = 3.5785 Å, b = 11.2543 Å, c = 13.2181 Å
α = 90.00°, β = 90.00°, γ = 90.00°
Space group Immm (No. 71)
Symmetry-distinct sites (fractional):
La  0.0000  0.0000  0.0000 x2
Pr  0.0000  0.5000  0.2578 x4
Ho  0.0000  0.2291  0.3682 x8
Ho  0.0000  0.5000  0.0000 x2

=====

Entry 6:
La2PrHo: computed XRD peak list (a wavelength of 1.5418 Å), based on DFT lattice parameters and positions (GGA-PBE).
No peak broadening, texture or thermal motion is included.

Peak list (10 most intense, 2θ from 10° to 80°, by intensity)
two_theta	d [Å]	I/Imax	index
29.79	2.999	100.0	1 1 1
34.45	2.603	34.0	2 0 0
58.87	1.569	29.0	3 1 1
49.71	1.834	24.2	2 0 2
34.71	2.585	16.7	0 0 2
59.21	1.561	14.3	1 1 3
61.88	1.499	12.5	2 2 2
49.52	1.841	12.2	2 2 0
72.64	1.302	3.9	4 0 0
73.24	1.292	1.9	0 0 4

Structural model:
a = 5.2064 Å, b = 5.2064 Å, c = 5.1693 Å
α = 90.00°, β = 90.00°, γ = 90.00°
Space group P4/mmm (No. 123)
Symmetry-distinct sites (fractional):
La  0.0000  0.5000  0.0000 x2
Pr  0.0000  0.0000  0.5000 x1
Ho  0.5000  0.5000  0.5000 x1

=====

Entry 7:
La5PrHo5: computed XRD peak list (a wavelength of 1.5418 Å), based on DFT lattice parameters and positions (GGA-PBE).
No peak broadening, texture or thermal motion is included.

Peak list (10 most intense, 2θ from 10° to 80°, by intensity)
two_theta	d [Å]	I/Imax	index
27.96	3.191	100.0	1 0 3
28.72	3.108	87.6	1 1 0
50.42	1.810	39.8	2 1 3
34.16	2.625	39.8	2 0 1
34.48	2.601	38.5	1 0 4
29.71	3.007	33.7	1 1 1
36.65	2.452	32.9	2 0 2
59.48	1.554	30.9	2 2 0
32.51	2.754	29.2	1 1 2
45.47	1.995	28.0	2 0 4

Structural model:
a = 6.2158 Å, b = 6.2158 Å, c = 11.8856 Å
α = 90.00°, β = 90.00°, γ = 120.00°
Space group P-6m2 (No. 187)
Symmetry-distinct sites (fractional):
La  0.0000  0.0000  0.0000 x1
La  0.3333  0.6667  0.3179 x2
La  0.6667  0.3333  0.1523 x2
Pr  0.3333  0.6667  0.0000 x1
Ho  0.0000  0.0000  0.2659 x2
Ho  0.3318  0.1659  0.5000 x3

=====

Entry 8:
La6PrHo3: computed XRD peak list (a wavelength of 1.5418 Å), based on DFT lattice parameters and positions (GGA-PBE).
No peak broadening, texture or thermal motion is included.

Peak list (10 most intense, 2θ from 10° to 80°, by intensity)
two_theta	d [Å]	I/Imax	index
31.75	2.818	100.0	3 1 1
31.48	2.842	63.6	0 0 2
27.88	3.200	41.3	1 3 1
31.92	2.804	36.2	2 3 1
27.58	3.235	36.1	2 2 1
32.53	2.752	33.0	0 4 1
34.18	2.623	25.6	3 3 0
29.75	3.003	23.9	1 4 0
56.22	1.636	19.8	3 1 3
43.86	2.064	16.5	1 4 2

Structural model:
a = 10.0767 Å, b = 12.5834 Å, c = 5.6837 Å
α = 90.00°, β = 90.00°, γ = 90.00°
Space group Pbam (No. 55)
Symmetry-distinct sites (fractional):
La  0.0597  0.2210  0.0000 x4
La  0.1788  0.6729  0.5000 x4
La  0.1825  0.9805  0.0000 x4
Pr  0.0000  0.5000  0.0000 x2
Ho  0.0000  0.0000  0.5000 x2
Ho  0.1497  0.4027  0.5000 x4

=====

Entry 9:
LaPr2Ho6: computed XRD peak list (a wavelength of 1.5418 Å), based on DFT lattice parameters and positions (GGA-PBE).
No peak broadening, texture or thermal motion is included.

Peak list (10 most intense, 2θ from 10° to 80°, by intensity)
two_theta	d [Å]	I/Imax	index
31.57	2.834	100.0	3 0 0
31.06	2.879	83.5	1 1 1
44.88	2.020	27.7	4 -2 1
55.90	1.645	26.7	1 4 1
61.59	1.506	17.8	3 0 2
56.22	1.636	17.1	3 3 0
32.84	2.727	14.6	0 2 1
37.74	2.384	14.1	3 -1 1
53.59	1.710	11.2	3 2 1
65.92	1.417	9.9	6 0 0

Structural model:
a = 9.8170 Å, b = 9.8170 Å, c = 3.5553 Å
α = 90.00°, β = 90.00°, γ = 120.00°
Space group P-3 (No. 147)
Symmetry-distinct sites (fractional):
La  0.0000  0.0000  0.0000 x1
Pr  0.3333  0.6667  0.7635 x2
Ho  0.0213  0.6694  0.2700 x6

=====

Entry 10:
La5Pr4Ho4: computed XRD peak list (a wavelength of 1.5418 Å), based on DFT lattice parameters and positions (GGA-PBE).
No peak broadening, texture or thermal motion is included.

Peak list (10 most intense, 2θ from 10° to 80°, by intensity)
two_theta	d [Å]	I/Imax	index
31.14	2.872	100.0	1 1 -3
30.13	2.966	29.8	0 2 0
29.31	3.047	25.4	4 0 1
54.15	1.694	21.0	1 3 -3
42.54	2.125	18.5	4 2 1
53.14	1.723	13.7	3 1 4
64.93	1.436	9.2	2 2 -6
56.51	1.628	8.8	6 2 -5
46.61	1.949	8.6	6 0 -5
56.03	1.641	7.2	2 0 -6

Structural model:
a = 16.9009 Å, b = 5.9315 Å, c = 10.2030 Å
α = 90.00°, β = 116.48°, γ = 90.00°
Space group C2/m (No. 12)
Symmetry-distinct sites (fractional):
La  0.0000  0.0000  0.0000 x2
La  0.0229  0.5000  0.8094 x4
La  0.1938  0.5000  0.2316 x4
Pr  0.0913  0.0000  0.7126 x4
Pr  0.1385  0.5000  0.5500 x4
Ho  0.1382  0.0000  0.3776 x4
Ho  0.2480  0.0000  0.0846 x4

=====

Entry 11:
La4Pr3Ho: computed XRD peak list (a wavelength of 1.5418 Å), based on DFT lattice parameters and positions (GGA-PBE).
No peak broadening, texture or thermal motion is included.

Peak list (10 most intense, 2θ from 10° to 80°, by intensity)
two_theta	d [Å]	I/Imax	index
28.94	3.085	100.0	1 1 -1
31.03	2.882	96.4	3 1 1
30.53	2.928	73.7	5 1 0
28.71	3.110	62.0	2 0 -2
31.98	2.799	59.9	8 0 1
27.60	3.232	59.6	8 0 0
30.21	2.959	58.8	8 0 -1
35.05	2.560	40.4	7 1 0
30.71	2.911	39.6	4 0 -2
55.78	1.648	39.4	13 1 1

Structural model:
a = 25.9129 Å, b = 3.5527 Å, c = 6.3143 Å
α = 90.00°, β = 93.93°, γ = 90.00°
Space group C2/m (No. 12)
Symmetry-distinct sites (fractional):
La  0.1050  0.0000  0.2280 x4
La  0.2200  0.5000  0.2436 x4
Pr  0.0000  0.0000  0.5000 x2
Pr  0.1441  0.0000  0.7396 x4
Ho  0.0000  0.5000  0.0000 x2

=====

Entry 12:
La2Pr6Ho5: computed XRD peak list (a wavelength of 1.5418 Å), based on DFT lattice parameters and positions (GGA-PBE).
No peak broadening, texture or thermal motion is included.

Peak list (10 most intense, 2θ from 10° to 80°, by intensity)
two_theta	d [Å]	I/Imax	index
31.34	2.854	100.0	2 3 1
31.16	2.871	99.5	1 7 0
30.20	2.959	53.1	4 1 0
30.73	2.910	46.2	1 4 1
33.42	2.681	39.9	2 4 1
59.67	1.550	31.4	1 7 2
55.37	1.659	29.6	6 4 1
35.66	2.518	24.7	3 3 1
34.38	2.608	22.5	3 6 0
49.51	1.841	21.9	0 0 2

Structural model:
a = 11.9583 Å, b = 20.6948 Å, c = 3.6819 Å
α = 90.00°, β = 90.00°, γ = 90.00°
Space group Pbam (No. 55)
Symmetry-distinct sites (fractional):
La  0.1662  0.2172  0.0000 x4
Pr  0.0577  0.9231  0.0000 x4
Pr  0.0800  0.6357  0.0000 x4
Pr  0.1784  0.3755  0.5000 x4
Ho  0.0000  0.5000  0.5000 x2
Ho  0.0948  0.7784  0.5000 x4
Ho  0.2008  0.0551  0.5000 x4

=====

Entry 13:
LaPr4Ho7: computed XRD peak list (a wavelength of 1.5418 Å), based on DFT lattice parameters and positions (GGA-PBE).
No peak broadening, texture or thermal motion is included.

Peak list (10 most intense, 2θ from 10° to 80°, by intensity)
two_theta	d [Å]	I/Imax	index
31.49	2.841	100.0	2 0 2
33.14	2.703	57.7	1 2 2
30.74	2.909	49.4	0 0 3
28.51	3.131	36.9	1 -2 0
59.90	1.544	29.7	3 2 4
33.23	2.696	28.5	1 -2 2
50.06	1.822	25.5	3 2 1
54.03	1.697	22.1	2 0 5
29.13	3.065	13.6	1 -2 1
50.20	1.817	12.6	0 4 0

Structural model:
a = 6.3171 Å, b = 7.2696 Å, c = 8.9758 Å
α = 89.89°, β = 76.45°, γ = 89.94°
Space group P-1 (No. 2)
Symmetry-distinct sites (fractional):
La  0.0000  0.0000  0.0000 x1
Pr  0.2230  0.4999  0.3306 x2
Pr  0.2782  0.7515  0.6652 x2
Ho  0.0000  0.5000  0.0000 x1
Ho  0.2219  0.9994  0.3328 x2
Ho  0.2774  0.2476  0.6674 x2
Ho  0.4991  0.2482  0.9988 x2